The following is a calculated PXRD pattern of MnHgMo. It was derived from the GGA-PBE geometry in Alexandria, using Cu Ka.
Lines closer than 0.1° are merged.

Atomic structure:
a b c (Å): 3.379 4.527 13.190
angles (deg): 90.00 90.00 90.00
Space group Fmm2 (No. 42)
One atom of each set of equivalent atoms:
Mn: 0.000 0.000 0.000 [4 per cell]
Hg: 0.000 0.000 0.674 [4 per cell]
Mo: 0.000 0.000 0.360 [4 per cell]

Largest 12 diffraction maxima, in order of rising 2θ, 2θ = 15–90°:
- 27.04 deg, intensity 18
- 33.79 deg, intensity 25
- 39.07 deg, intensity 100
- 39.82 deg, intensity 24
- 41.06 deg, intensity 20
- 54.30 deg, intensity 10
- 58.53 deg, intensity 14
- 59.79 deg, intensity 12
- 69.41 deg, intensity 9
- 71.79 deg, intensity 16
- 73.47 deg, intensity 12
- 83.93 deg, intensity 10